# 1
The following is a theoretical X-ray diffraction stick pattern of YTi2O4. It was derived from DFT lattice parameters and positions (GGA-PBE), using a wavelength of 1.5418 Å.
Neutral-atom scattering factors, no anomalous dispersion.

Top 8 peaks for 2θ from 10° to 80°, sorted by position:
| 2θ (°) | Rel. int. |
| --- | --- |
| 28.1 | 36 |
| 31.0 | 36 |
| 35.6 | 100 |
| 48.2 | 19 |
| 52.9 | 21 |
| 54.7 | 16 |
| 57.7 | 16 |
| 58.0 | 23 |

Crystal structure
abc: 6.4694 6.4694 6.4694
angles: 126.39 126.39 79.25
Element x y z (fractional)
Y 0.3750 0.1250 0.2500
Y 0.6250 0.8750 0.7500
Ti 0.0000 0.0000 0.5000
Ti 0.0000 0.5000 0.0000
Ti 0.0000 0.5000 0.5000
Ti 0.5000 0.5000 0.0000
O 0.0117 0.1248 0.2819
O 0.2297 0.5117 0.3868
O 0.3429 0.7297 0.2181
O 0.3752 0.1571 0.8868
O 0.6248 0.8429 0.1132
O 0.6571 0.2703 0.7819
O 0.7703 0.4883 0.6132
O 0.9883 0.8752 0.7181

***

# 2
The following is a theoretical X-ray diffraction stick pattern of Ho3Er8In. It was derived from DFT lattice parameters and positions (GGA-PBE), using a wavelength of 1.5418 Å.
Neutral-atom scattering factors, no anomalous dispersion.

Top 8 peaks for 2θ from 10° to 80°, sorted by position:
| 2θ (°) | Rel. int. |
| --- | --- |
| 31.3 | 32 |
| 31.5 | 100 |
| 36.1 | 46 |
| 37.3 | 20 |
| 52.8 | 14 |
| 52.9 | 15 |
| 62.1 | 19 |
| 63.7 | 12 |

Crystal structure
abc: 8.5705 3.5099 11.9320
angles: 90.00 91.89 90.00
Element x y z (fractional)
Ho 0.0000 0.0000 0.0000
Ho 0.0410 0.5000 0.7525
Ho 0.3588 0.5000 0.5931
Er 0.0066 0.5000 0.2536
Er 0.0182 0.0000 0.5072
Er 0.3254 0.5000 0.0943
Er 0.3470 0.0000 0.3388
Er 0.3663 0.0000 0.8473
Er 0.6696 0.0000 0.1612
Er 0.6828 0.5000 0.4228
Er 0.6960 0.0000 0.6844
In 0.6822 0.5000 0.9228